[1]
Diffraction record for CaLaPm2Sb4. The powder diffraction line list is computed, not measured: it uses a cell relaxed with GGA-PBE and CuKα.
No peak broadening, texture or thermal motion is included.

Principal peaks in the range 5 to 70 degrees two-theta, by angle:
2θ (°)  d/Å  I (rel.)  hkl
13.8  6.425  2  0 0 2
15.4  5.738  5  1 1 1
19.6  4.535  2  2 0 0
27.8  3.208  100  2 2 0
39.7  2.269  76  4 0 0
49.2  1.852  27  4 0 4
57.4  1.606  4  0 0 8
57.5  1.603  9  4 4 0
65.0  1.435  29  4 4 4
65.1  1.433  6  6 2 0

Structure:
a = 9.059 Å, b = 9.079 Å, c = 12.850 Å
α = 90.00°, β = 90.00°, γ = 90.00°
Space group Fmmm (No. 69)
One atom of each set of equivalent atoms:
Ca 0.000 0.000 0.000 [4 per cell]
La 0.000 0.000 0.500 [4 per cell]
Pm 0.250 0.250 0.250 [8 per cell]
Sb 0.000 0.000 0.250 [8 per cell]
Sb 0.250 0.250 0.000 [8 per cell]

[2]
Diffraction record for Cs2LiMnC6N6. The powder diffraction line list is computed, not measured: it uses a cell relaxed with GGA-PBE and CuKα.
No peak broadening, texture or thermal motion is included.

Principal peaks in the range 5 to 70 degrees two-theta, by angle:
2θ (°)  d/Å  I (rel.)  hkl
16.5  5.366  20  2 0 0
23.4  3.794  100  2 2 0
28.8  3.098  47  2 2 2
33.4  2.683  43  4 0 0
37.5  2.400  21  4 2 0
41.2  2.191  35  4 2 2
48.0  1.897  24  4 4 0
51.1  1.789  13  4 4 2
54.0  1.697  27  6 2 0
65.0  1.434  26  6 4 2

Structure:
a = 10.731 Å, b = 10.731 Å, c = 10.731 Å
α = 90.00°, β = 90.00°, γ = 90.00°
Space group Fm-3m (No. 225)
One atom of each set of equivalent atoms:
Cs 0.250 0.250 0.250 [8 per cell]
Li 0.000 0.000 0.000 [4 per cell]
Mn 0.000 0.000 0.500 [4 per cell]
C 0.000 0.000 0.317 [24 per cell]
N 0.000 0.000 0.208 [24 per cell]

[3]
Diffraction record for Th2GeSbRh6. The powder diffraction line list is computed, not measured: it uses a cell relaxed with GGA-PBE and CuKα.
No peak broadening, texture or thermal motion is included.

Principal peaks in the range 5 to 70 degrees two-theta, by angle:
2θ (°)  d/Å  I (rel.)  hkl
28.2  3.159  100  1 2 1
29.7  3.007  52  0 2 2
33.9  2.643  23  1 2 2
38.6  2.334  64  2 2 0
39.0  2.309  74  2 0 2
41.7  2.166  51  0 4 0
41.9  2.158  87  1 2 3
43.3  2.089  22  0 0 4
58.4  1.580  42  2 4 2
64.2  1.450  25  3 2 3

Structure:
a = 5.540 Å, b = 8.664 Å, c = 8.356 Å
α = 90.00°, β = 90.00°, γ = 90.00°
Space group Pmmn (No. 59, origin choice 2)
One atom of each set of equivalent atoms:
Th 0.250 0.018 0.232 [4 per cell]
Ge 0.250 0.750 0.747 [2 per cell]
Sb 0.250 0.250 0.764 [2 per cell]
Rh 0.004 0.250 0.492 [4 per cell]
Rh 0.006 0.750 0.985 [4 per cell]
Rh 0.250 0.502 0.591 [4 per cell]

[4]
Diffraction record for NaPaAlO5. The powder diffraction line list is computed, not measured: it uses a cell relaxed with GGA-PBE and CuKα.
No peak broadening, texture or thermal motion is included.

Principal peaks in the range 5 to 70 degrees two-theta, by angle:
2θ (°)  d/Å  I (rel.)  hkl
16.6  5.332  100  1 1 0
18.9  4.693  33  0 2 0
24.2  3.673  78  1 1 -2
27.5  3.239  27  2 0 0
31.0  2.887  34  0 2 2
31.8  2.817  30  1 3 0
33.6  2.666  14  2 2 0
34.0  2.637  16  2 2 -2
34.2  2.622  15  1 1 2
39.6  2.275  16  3 1 -2

Structure:
a = 7.152 Å, b = 9.387 Å, c = 8.084 Å
α = 90.00°, β = 115.07°, γ = 90.00°
Space group C2/c (No. 15)
One atom of each set of equivalent atoms:
Na 0.000 0.163 0.250 [4 per cell]
Pa 0.000 0.500 0.000 [4 per cell]
Al 0.000 0.183 0.750 [4 per cell]
O 0.000 0.418 0.250 [4 per cell]
O 0.105 0.297 0.634 [8 per cell]
O 0.184 0.064 0.904 [8 per cell]

[5]
Diffraction record for AcB2IrO8. The powder diffraction line list is computed, not measured: it uses a cell relaxed with GGA-PBE and CuKα.
No peak broadening, texture or thermal motion is included.

Principal peaks in the range 5 to 70 degrees two-theta, by angle:
2θ (°)  d/Å  I (rel.)  hkl
21.2  4.191  100  1 1 0
23.1  3.855  49  2 0 0
24.2  3.676  35  0 0 2
31.6  2.829  45  1 1 -2
33.2  2.702  42  1 1 2
36.0  2.496  17  0 2 0
39.4  2.285  28  3 1 0
43.8  2.065  24  0 2 2
45.1  2.010  16  3 1 -2
49.0  1.858  16  2 2 -2

Structure:
a = 7.738 Å, b = 4.993 Å, c = 7.379 Å
α = 90.00°, β = 94.88°, γ = 90.00°
Space group C2/m (No. 12)
One atom of each set of equivalent atoms:
Ac 0.000 0.000 0.000 [2 per cell]
B 0.131 0.500 0.289 [4 per cell]
Ir 0.000 0.000 0.500 [2 per cell]
O 0.018 0.260 0.307 [8 per cell]
O 0.193 0.500 0.114 [4 per cell]
O 0.241 0.000 0.549 [4 per cell]

[6]
Diffraction record for BaNaHg14. The powder diffraction line list is computed, not measured: it uses a cell relaxed with GGA-PBE and CuKα.
No peak broadening, texture or thermal motion is included.

Principal peaks in the range 5 to 70 degrees two-theta, by angle:
2θ (°)  d/Å  I (rel.)  hkl
12.5  7.106  30  0 2 0
25.1  3.553  38  0 4 0
29.5  3.024  50  4 0 0
30.5  2.928  79  2 4 -2
31.4  2.849  29  2 2 2
32.7  2.738  90  2 0 -4
34.7  2.585  100  4 0 -4
36.6  2.454  28  4 4 -2
37.4  2.405  35  1 3 3
38.5  2.341  49  2 4 2

Structure:
a = 13.788 Å, b = 14.211 Å, c = 10.995 Å
α = 90.00°, β = 118.70°, γ = 90.00°
Space group C2/m (No. 12)
One atom of each set of equivalent atoms:
Ba 0.196 0.000 0.227 [4 per cell]
Na 0.000 0.000 0.500 [2 per cell]
Na 0.000 0.500 0.000 [2 per cell]
Hg 0.073 0.111 0.883 [8 per cell]
Hg 0.093 0.393 0.345 [8 per cell]
Hg 0.116 0.248 0.130 [8 per cell]
Hg 0.119 0.309 0.633 [8 per cell]
Hg 0.128 0.164 0.416 [8 per cell]
Hg 0.158 0.376 0.923 [8 per cell]
Hg 0.208 0.105 0.731 [8 per cell]

[7]
Diffraction record for ZrAg2PPt. The powder diffraction line list is computed, not measured: it uses a cell relaxed with GGA-PBE and CuKα.
No peak broadening, texture or thermal motion is included.

Principal peaks in the range 5 to 70 degrees two-theta, by angle:
2θ (°)  d/Å  I (rel.)  hkl
16.9  5.249  100  1 0 0
30.3  2.952  97  1 1 1
34.2  2.625  82  2 0 0
36.9  2.436  33  0 0 2
38.3  2.347  27  2 1 0
40.8  2.209  22  1 0 2
49.1  1.856  29  2 2 0
51.2  1.785  51  2 0 2
58.8  1.571  29  3 1 1
63.0  1.476  27  2 2 2

Structure:
a = 5.249 Å, b = 5.249 Å, c = 4.871 Å
α = 90.00°, β = 90.00°, γ = 90.00°
Space group P4/mmm (No. 123)
One atom of each set of equivalent atoms:
Zr 0.000 0.000 0.000 [1 per cell]
Ag 0.000 0.500 0.000 [2 per cell]
P 0.500 0.500 0.500 [1 per cell]
Pt 0.000 0.000 0.500 [1 per cell]

[8]
Diffraction record for PmTlAu. The powder diffraction line list is computed, not measured: it uses a cell relaxed with GGA-PBE and CuKα.
No peak broadening, texture or thermal motion is included.

Principal peaks in the range 5 to 70 degrees two-theta, by angle:
2θ (°)  d/Å  I (rel.)  hkl
22.1  4.014  33  1 1 1
25.6  3.476  9  2 0 0
36.6  2.458  100  2 2 0
43.2  2.096  18  3 1 1
45.2  2.007  3  2 2 2
52.7  1.738  18  4 0 0
57.8  1.595  8  3 3 1
59.5  1.555  4  4 2 0
65.8  1.419  37  4 2 2

Structure:
a = 6.953 Å, b = 6.953 Å, c = 6.953 Å
α = 90.00°, β = 90.00°, γ = 90.00°
Space group F-43m (No. 216)
One atom of each set of equivalent atoms:
Pm 0.000 0.000 0.000 [4 per cell]
Tl 0.000 0.000 0.500 [4 per cell]
Au 0.250 0.250 0.750 [4 per cell]

[9]
Diffraction record for Na2HfTe3O12. The powder diffraction line list is computed, not measured: it uses a cell relaxed with GGA-PBE and CuKα.
No peak broadening, texture or thermal motion is included.

Principal peaks in the range 5 to 70 degrees two-theta, by angle:
2θ (°)  d/Å  I (rel.)  hkl
14.6  6.082  15  0 0 3
14.8  5.972  100  1 0 1
28.5  3.129  48  1 1 3
29.4  3.041  18  0 0 6
29.9  2.986  46  2 0 2
34.5  2.598  19  0 2 4
45.6  1.991  15  3 0 3
49.3  1.849  14  2 0 8
50.0  1.824  19  2 2 0
59.0  1.564  16  2 2 6

Structure:
a = 7.2979 Å, b = 7.2979 Å, c = 18.2454 Å
α = 90.00°, β = 90.00°, γ = 120.00°
Space group R-3m (No. 166, hexagonal axes)
One atom of each set of equivalent atoms:
Na 0.0000 0.0000 0.1900 [6 per cell]
Hf 0.0000 0.0000 0.5000 [3 per cell]
Te 0.0000 0.5000 0.0000 [9 per cell]
O 0.0646 0.5323 0.1019 [18 per cell]
O 0.0751 0.5375 0.3593 [18 per cell]

[10]
Diffraction record for GeTe2Br. The powder diffraction line list is computed, not measured: it uses a cell relaxed with GGA-PBE and CuKα.
No peak broadening, texture or thermal motion is included.

Principal peaks in the range 5 to 70 degrees two-theta, by angle:
2θ (°)  d/Å  I (rel.)  hkl
17.3  5.136  26  0 1 1
27.2  3.274  100  1 2 0
28.3  3.157  33  0 3 1
31.0  2.882  13  0 0 2
32.0  2.793  20  0 1 2
36.1  2.488  20  1 3 -1
36.3  2.475  21  1 3 1
42.9  2.108  15  0 5 1
45.2  2.007  17  2 0 0
45.4  1.996  15  1 3 -2

Structure:
a = 4.013 Å, b = 11.324 Å, c = 5.764 Å
α = 90.00°, β = 90.56°, γ = 90.00°
Space group P2_1/m (No. 11)
One atom of each set of equivalent atoms:
Ge 0.010 0.250 0.155 [2 per cell]
Te 0.491 0.559 0.793 [4 per cell]
Br 0.003 0.250 0.595 [2 per cell]

[11]
Diffraction record for AcGe6. The powder diffraction line list is computed, not measured: it uses a cell relaxed with GGA-PBE and CuKα.
No peak broadening, texture or thermal motion is included.

Principal peaks in the range 5 to 70 degrees two-theta, by angle:
2θ (°)  d/Å  I (rel.)  hkl
17.7  5.022  6  1 1 0
25.1  3.551  42  2 0 0
30.8  2.900  100  2 1 1
40.1  2.246  2  3 1 0
44.2  2.050  5  2 2 2
47.9  1.898  60  3 2 1
51.5  1.776  20  4 0 0
58.1  1.588  17  4 2 0
61.2  1.514  14  3 3 2
67.2  1.393  1  5 1 0

Structure:
a = 7.103 Å, b = 7.103 Å, c = 7.103 Å
α = 90.00°, β = 90.00°, γ = 90.00°
Space group Im-3m (No. 229)
One atom of each set of equivalent atoms:
Ac 0.000 0.000 0.000 [2 per cell]
Ge 0.000 0.250 0.500 [12 per cell]

[12]
Diffraction record for CrNi6Rh. The powder diffraction line list is computed, not measured: it uses a cell relaxed with GGA-PBE and CuKα.
No peak broadening, texture or thermal motion is included.

Principal peaks in the range 5 to 70 degrees two-theta, by angle:
2θ (°)  d/Å  I (rel.)  hkl
23.2  3.829  8  1 1 1
30.6  2.922  1  0 2 2
34.4  2.611  5  1 1 3
42.8  2.113  2  1 3 1
43.8  2.069  100  2 2 0
43.9  2.064  99  0 2 4
50.2  1.819  2  1 3 3
51.0  1.792  31  0 4 0
51.1  1.788  62  2 0 4
62.9  1.477  1  3 1 3

Structure:
a = 5.067 Å, b = 7.169 Å, c = 10.095 Å
α = 90.00°, β = 90.00°, γ = 90.00°
Space group Fmmm (No. 69)
One atom of each set of equivalent atoms:
Cr 0.000 0.000 0.000 [4 per cell]
Ni 0.000 0.000 0.246 [8 per cell]
Ni 0.250 0.250 0.127 [16 per cell]
Rh 0.000 0.000 0.500 [4 per cell]

[13]
Diffraction record for SrIn4Au6. The powder diffraction line list is computed, not measured: it uses a cell relaxed with GGA-PBE and CuKα.
No peak broadening, texture or thermal motion is included.

Principal peaks in the range 5 to 70 degrees two-theta, by angle:
2θ (°)  d/Å  I (rel.)  hkl
12.8  6.901  17  1 0 0
22.3  3.985  17  1 1 0
23.4  3.805  10  1 0 1
29.8  3.001  22  1 1 1
32.5  2.752  34  2 0 1
34.4  2.608  31  2 1 0
39.5  2.280  27  0 0 2
39.8  2.264  100  2 1 1
53.4  1.717  18  2 1 2
61.6  1.506  18  1 4 0

Structure:
a = 7.9691 Å, b = 7.9691 Å, c = 4.5602 Å
α = 90.00°, β = 90.00°, γ = 120.00°
Space group P-6 (No. 174)
One atom of each set of equivalent atoms:
Sr 0.0000 0.0000 0.0000 [1 per cell]
In 0.1177 0.7146 0.5000 [3 per cell]
In 0.6667 0.3333 0.0000 [1 per cell]
Au 0.0990 0.4759 0.0000 [3 per cell]
Au 0.3878 0.1277 0.5000 [3 per cell]